The following is a simulated XRD peak list of ErZnRh. It was derived from a structure optimized by DFT (GGA-PBE), using a wavelength of 1.5418 Å.
Lines closer than 0.1° are merged.

Cell and atoms:
```
data_ErZnRh
_chemical_formula_sum 'Er4 Zn4 Rh4'
_space_group_name_H-M_alt 'P n m a'
_space_group_IT_number 62
_cell_length_a 6.9031
_cell_length_b 4.0556
_cell_length_c 8.0518
_cell_angle_alpha 90.00
_cell_angle_beta 90.00
_cell_angle_gamma 90.00
loop_
_space_group_symop_operation_xyz
'x,y,z'
'-x,-y,-z'
'-x+1/2,-y,z+1/2'
'x+1/2,y,-z+1/2'
'x+1/2,-y+1/2,-z+1/2'
'-x+1/2,y+1/2,z+1/2'
'-x,y+1/2,-z'
'x,-y+1/2,z'
loop_
_atom_site_label
_atom_site_type_symbol
_atom_site_fract_x
_atom_site_fract_y
_atom_site_fract_z
_atom_site_occupancy
Er1 Er 0.0308 0.2500 0.1834 1
Zn1 Zn 0.1418 0.2500 0.5642 1
Rh1 Rh 0.2396 0.7500 0.3767 1
```

Top 10 peaks for 2θ from 10° to 90°, low angle first:
| 2θ (°) | d_spacing | I (rel.) | index |
| --- | --- | --- | --- |
| 34.0 | 2.640 | 48 | 1 1 2 |
| 34.1 | 2.629 | 13 | 2 1 0 |
| 34.2 | 2.620 | 12 | 2 0 2 |
| 35.9 | 2.499 | 100 | 2 1 1 |
| 40.3 | 2.238 | 22 | 0 1 3 |
| 42.5 | 2.129 | 15 | 1 1 3 |
| 44.7 | 2.028 | 26 | 0 2 0 |
| 45.4 | 1.998 | 16 | 3 0 2 |
| 58.6 | 1.575 | 11 | 1 2 3 |
| 65.8 | 1.419 | 11 | 3 1 4 |